Starting from a DFT-relaxed cell (PBE+U, Alexandria), the powder diffractogram of KMnSn3O8 was calculated for Cu Kα X-rays.

Atomic structure:
Cell: 10.523 3.236 14.808 Å, 90.00 134.51 90.00°
Space group Pc (No. 7)
Symmetry-distinct sites (fractional):
K1 0.000 0.176 0.000 x2
Mn1 0.827 0.247 0.144 x2
Sn1 0.181 0.277 0.837 x2
Sn2 0.504 0.260 0.335 x2
Sn3 0.531 0.227 0.657 x2
O1 0.051 0.220 0.337 x2
O2 0.305 0.228 0.331 x2
O3 0.373 0.237 0.700 x2
O4 0.380 0.275 0.033 x2
O5 0.642 0.242 0.956 x2
O6 0.660 0.271 0.292 x2
O7 0.717 0.216 0.653 x2
O8 0.962 0.328 0.644 x2

The 8 most intense peaks (2θ = 5–70°), in order of rising 2θ:
d/Å  2theta  Rel. int.  (hkl)
7.504  11.79  70  1 0 0
5.271  16.82  86  0 0 2
3.349  26.62  63  1 0 2
3.319  26.86  95  3 0 -4
2.672  33.53  92  1 1 1
2.663  33.65  100  1 1 -3
2.010  45.11  57  4 1 -3
1.759  51.97  30  0 0 6